1.
The following is a computed PXRD pattern of CaCu2Ni2O8. It was derived from a cell relaxed with GGA+U, using Cu Kα, 1.54184 Å.
No peak broadening, texture or thermal motion is included.

Largest 8 diffraction maxima, sorted by position, 2θ from 15° to 90°:
Position (°2θ)  I (rel.)
24.44  46
25.61  33
29.55  70
29.75  31
30.35  100
32.44  52
33.03  31
33.64  31

Structural model:
```
data_CaCu2Ni2O8
_cell_length_a 6.396
_cell_length_b 8.504
_cell_length_c 12.120
_cell_angle_alpha 90.00
_cell_angle_beta 94.04
_cell_angle_gamma 90.00
_space_group_name_H-M_alt 'P 1 21/c 1'
_space_group_IT_number 14
loop_
_space_group_symop_operation_xyz
'x,y,z'
'-x,-y,-z'
'-x,y+1/2,-z+1/2'
'x,-y+1/2,z+1/2'
loop_
_atom_site_label
_atom_site_type_symbol
_atom_site_fract_x
_atom_site_fract_y
_atom_site_fract_z
Ca1 Ca 0.170 0.179 0.484
Cu1 Cu 0.269 0.694 0.882
Cu2 Cu 0.415 0.039 0.859
Ni1 Ni 0.081 0.024 0.174
Ni2 Ni 0.385 0.602 0.136
O1 O 0.011 0.713 0.380
O2 O 0.140 0.105 0.849
O3 O 0.155 0.012 0.314
O4 O 0.185 0.599 0.020
O5 O 0.314 0.023 0.101
O6 O 0.357 0.648 0.284
O7 O 0.469 0.100 0.619
O8 O 0.473 0.231 0.919
```

2.
The following is a computed PXRD pattern of Li2AlNiO4. It was derived from a cell relaxed with GGA+U, using Cu Kα, 1.54184 Å.
No peak broadening, texture or thermal motion is included.

Largest 8 diffraction maxima, sorted by position, 2θ from 15° to 90°:
Position (°2θ)  I (rel.)
16.18  56
22.37  36
23.83  100
28.62  46
32.70  60
33.41  30
35.21  49
59.26  37

Structural model:
```
data_Li2AlNiO4
_cell_length_a 5.098
_cell_length_b 10.729
_cell_length_c 8.146
_cell_angle_alpha 90.00
_cell_angle_beta 128.55
_cell_angle_gamma 90.00
_space_group_name_H-M_alt 'P 1 21/c 1'
_space_group_IT_number 14
loop_
_space_group_symop_operation_xyz
'x,y,z'
'-x,-y,-z'
'-x,y+1/2,-z+1/2'
'x,-y+1/2,z+1/2'
loop_
_atom_site_label
_atom_site_type_symbol
_atom_site_fract_x
_atom_site_fract_y
_atom_site_fract_z
Li1 Li 0.055 0.080 0.258
Li2 Li 0.300 0.666 0.989
Al1 Al 0.444 0.088 0.760
Ni1 Ni 0.190 0.167 0.008
O1 O 0.106 0.092 0.772
O2 O 0.201 0.664 0.517
O3 O 0.321 0.168 0.530
O4 O 0.462 0.070 0.250
```